Calculated powder diffractogram of K3BaPCO7 for Cu Kα X-rays, from a PBE-relaxed structure.

Cell: 5.819 7.852 10.244 Å, 90.00 91.24 90.00°
Space group P2_1/m (No. 11)
Inequivalent atoms, fractional coordinates:
K  0.239  0.250  0.416
K  0.252  0.507  0.754
Ba  0.233  0.750  0.127
P  0.299  0.250  0.094
C  0.262  0.750  0.440
O  0.061  0.750  0.382
O  0.212  0.250  0.948
O  0.214  0.088  0.168
O  0.278  0.750  0.568
O  0.433  0.750  0.904
O  0.449  0.750  0.371

Top 12 peaks for 2θ from 10° to 80°, sorted by position:
d = 4.674 Å, intensity 24
d = 4.289 Å, intensity 26
d = 3.926 Å, intensity 62
d = 3.114 Å, intensity 96
d = 3.091 Å, intensity 65
d = 2.973 Å, intensity 31
d = 2.912 Å, intensity 100
d = 2.781 Å, intensity 27
d = 2.387 Å, intensity 34
d = 2.144 Å, intensity 53
d = 1.963 Å, intensity 36
d = 1.628 Å, intensity 28